NaAlH2CO5: theoretical X-ray diffraction stick pattern (Cu Kα, 1.54184 Å), based on DFT lattice parameters and positions (PBE).

Structural model:
Cell: 5.6431 6.8575 10.4056 Å, 90.00 90.00 90.00°
Space group Imma (No. 74)
Inequivalent atoms, fractional coordinates:
Na (0.0000, 0.0000, 0.0000) (multiplicity 4)
Al (0.2500, 0.2500, 0.2500) (multiplicity 4)
H (0.0000, 0.0490, 0.7198) (multiplicity 8)
C (0.0000, 0.2500, 0.5006) (multiplicity 4)
O (0.0000, 0.0694, 0.2250) (multiplicity 8)
O (0.0000, 0.2500, 0.6227) (multiplicity 4)
O (0.2016, 0.2500, 0.4371) (multiplicity 8)

Principal peaks in the range 2θ from 10° to 90°, in order of rising 2θ:
d = 5.726 Å, 15.5°, intensity 100, (0 1 1); d = 3.429 Å, 26.0°, intensity 13, (0 2 0); d = 2.821 Å, 31.7°, intensity 69, (1 2 1); d = 2.601 Å, 34.5°, intensity 19, (0 0 4); d = 2.531 Å, 35.5°, intensity 17, (2 1 1); d = 2.179 Å, 41.4°, intensity 23, (2 2 0); d = 1.991 Å, 45.6°, intensity 17, (0 1 5); d = 1.751 Å, 52.2°, intensity 22, (2 3 1); d = 1.714 Å, 53.5°, intensity 14, (0 4 0); d = 1.670 Å, 55.0°, intensity 18, (2 2 4)